InSeI: calculated powder diffraction line list (Cu Kα, 1.54184 Å), based on a crystal structure in Alexandria, relaxed with GGA-PBE.
No peak broadening, texture or thermal motion is included.

Atomic structure:
abc: 19.418 19.418 10.371
angles: 90.00 90.00 90.00
Space group I4_1/a (No. 88, origin choice 2)
One atom of each set of equivalent atoms:
In  0.143  0.467  0.494
In  0.153  0.051  0.129
Se  0.130  0.002  0.754
Se  0.164  0.415  0.873
I  0.030  0.397  0.576
I  0.032  0.105  0.049

The 10 most intense peaks (2θ = 10–90°), in order of rising 2θ:
18.28°, intensity 596, hkl 4 0 0; 19.41°, intensity 348, hkl 2 0 2; 24.48°, intensity 403, hkl 4 3 1; 25.96°, intensity 1000, hkl 4 4 0; 26.17°, intensity 749, hkl 2 5 1; 27.56°, intensity 504, hkl 6 0 0; 27.78°, intensity 686, hkl 1 2 3; 37.66°, intensity 339, hkl 3 1 4; 44.90°, intensity 801, hkl 5 8 1; 46.92°, intensity 347, hkl 3 2 5